Structure and theoretical powder X-ray diffraction pattern of Tb5Nd5Sc (a PBE-relaxed structure; a wavelength of 1.5418 Å).
Lines closer than 0.1° are merged.

Crystal structure
```
11
Lattice="9.473 -2.990 0.000 9.473 2.990 0.000 -2.584 0.000 6.514" Properties=species:S:1:pos:R:3 pbc="T T T"
Tb 0.000 0.000 0.000
Tb 5.402 0.000 2.148
Tb 4.875 0.000 5.709
Tb 11.488 0.000 0.806
Tb 10.961 0.000 4.366
Nd 2.178 0.000 2.804
Nd 0.921 0.000 5.972
Nd 8.181 0.000 3.257
Nd 15.441 0.000 0.542
Nd 14.185 0.000 3.710
Sc -1.292 0.000 3.257
```

Peak list (10 most intense, 10° ≤ 2θ ≤ 90°, sorted by position)
27.4 deg, d 3.256, I = 17; 28.2 deg, d 3.164, I = 23; 29.9 deg, d 2.990, I = 60; 30.0 deg, d 2.980, I = 34; 30.5 deg, d 2.935, I = 34; 33.3 deg, d 2.688, I = 100; 43.2 deg, d 2.095, I = 26; 52.2 deg, d 1.751, I = 17; 55.3 deg, d 1.662, I = 24; 61.3 deg, d 1.512, I = 15

Structure and theoretical powder X-ray diffraction pattern of AcHg4Au (a PBE-relaxed structure; a wavelength of 1.5418 Å).
Lines closer than 0.1° are merged.

Crystal structure
```
12
Lattice="2.598 -8.838 0.000 2.598 8.838 0.000 0.000 0.000 7.080" Properties=species:S:1:pos:R:3 pbc="T T T"
Ac 2.598 6.045 3.540
Ac 2.598 -6.045 0.000
Hg 2.598 8.226 6.506
Hg 2.598 5.166 6.861
Hg 2.598 2.469 4.793
Hg 2.598 0.526 0.869
Hg 2.598 -0.526 4.409
Hg 2.598 -2.469 1.253
Hg 2.598 -5.166 3.321
Hg 2.598 -8.226 2.966
Au 2.598 3.231 1.920
Au 2.598 -3.231 5.460
```

Peak list (10 most intense, 10° ≤ 2θ ≤ 90°, sorted by position)
30.3 deg, d 2.946, I = 26; 31.0 deg, d 2.886, I = 100; 32.9 deg, d 2.720, I = 36; 33.2 deg, d 2.702, I = 86; 34.2 deg, d 2.620, I = 67; 34.5 deg, d 2.598, I = 72; 40.0 deg, d 2.254, I = 25; 48.5 deg, d 1.879, I = 25; 61.0 deg, d 1.519, I = 18; 61.7 deg, d 1.503, I = 25

Structure and theoretical powder X-ray diffraction pattern of CaGdBi2 (a PBE-relaxed structure; a wavelength of 1.5418 Å).
Lines closer than 0.1° are merged.

Crystal structure
```
4
Lattice="2.239 1.293 7.788 -2.239 1.293 7.788 0.000 -2.585 7.788" Properties=species:S:1:pos:R:3 pbc="T T T"
Ca 0.000 0.000 0.000
Gd 0.000 0.000 11.681
Bi 0.000 0.000 5.774
Bi 0.000 0.000 17.588
```

Peak list (10 most intense, 10° ≤ 2θ ≤ 90°, sorted by position)
11.4 deg, d 7.788, I = 12; 24.2 deg, d 3.680, I = 17; 27.6 deg, d 3.231, I = 100; 38.6 deg, d 2.333, I = 41; 40.3 deg, d 2.239, I = 37; 49.5 deg, d 1.840, I = 21; 57.0 deg, d 1.615, I = 13; 63.3 deg, d 1.469, I = 19; 65.7 deg, d 1.422, I = 18; 72.1 deg, d 1.310, I = 13

Structure and theoretical powder X-ray diffraction pattern of TlPb3 (a PBE-relaxed structure; a wavelength of 1.5418 Å).
Lines closer than 0.1° are merged.

Crystal structure
```
4
Lattice="0.000 3.990 3.990 3.990 0.000 3.990 3.990 3.990 0.000" Properties=species:S:1:pos:R:3 pbc="T T T"
Tl 0.000 0.000 0.000
Pb 1.995 1.995 1.995
Pb 3.990 3.990 3.990
Pb 5.986 5.986 5.986
```

Peak list (6 most intense, 10° ≤ 2θ ≤ 90°, sorted by position)
31.7 deg, d 2.822, I = 100; 45.5 deg, d 1.995, I = 19; 56.5 deg, d 1.629, I = 40; 66.2 deg, d 1.411, I = 13; 75.3 deg, d 1.262, I = 18; 84.0 deg, d 1.152, I = 5

Structure and theoretical powder X-ray diffraction pattern of Pr4Nd3Ag (a PBE-relaxed structure; a wavelength of 1.5418 Å).
Lines closer than 0.1° are merged.

Crystal structure
```
8
Lattice="3.717 0.000 0.000 0.000 3.717 0.000 0.000 0.000 19.566" Properties=species:S:1:pos:R:3 pbc="T T T"
Pr 0.000 0.000 1.965
Pr 0.000 0.000 7.167
Pr 0.000 0.000 12.399
Pr 0.000 0.000 17.601
Nd 1.858 1.858 4.577
Nd 1.858 1.858 9.783
Nd 1.858 1.858 14.989
Ag 1.858 1.858 0.000
```

Peak list (10 most intense, 10° ≤ 2θ ≤ 90°, sorted by position)
27.6 deg, d 3.229, I = 8; 30.2 deg, d 2.959, I = 100; 34.1 deg, d 2.628, I = 42; 36.7 deg, d 2.446, I = 10; 47.5 deg, d 1.915, I = 9; 49.0 deg, d 1.858, I = 15; 51.0 deg, d 1.790, I = 14; 57.4 deg, d 1.604, I = 10; 58.7 deg, d 1.574, I = 30; 62.8 deg, d 1.480, I = 8

Structure and theoretical powder X-ray diffraction pattern of Ac4Pt2I5 (a PBE-relaxed structure; a wavelength of 1.5418 Å).
Lines closer than 0.1° are merged.

Crystal structure
```
11
Lattice="-2.188 4.687 14.309 2.188 -4.687 14.309 2.188 4.687 -14.309" Properties=species:S:1:pos:R:3 pbc="T T T"
Ac 0.000 0.000 4.155
Ac 2.188 1.846 0.000
Ac 0.000 2.841 14.309
Ac 0.000 0.000 24.463
Pt 0.000 0.000 1.335
Pt 0.000 0.000 27.282
I 2.188 2.313 -4.987
I 2.188 2.313 4.987
I 0.000 4.687 0.000
I 0.000 2.374 9.322
I 0.000 2.374 19.296
```

Peak list (10 most intense, 10° ≤ 2θ ≤ 90°, sorted by position)
18.6 deg, d 4.770, I = 62; 25.7 deg, d 3.472, I = 34; 28.1 deg, d 3.179, I = 100; 32.1 deg, d 2.792, I = 25; 35.3 deg, d 2.543, I = 19; 35.6 deg, d 2.519, I = 21; 38.8 deg, d 2.321, I = 27; 40.3 deg, d 2.236, I = 24; 41.3 deg, d 2.188, I = 18; 63.0 deg, d 1.476, I = 21